Theoretical X-ray diffraction stick pattern
Compound: Th3V
Radiation: Cu Kα (λ = 1.5418 Å)
Structure: DFT lattice parameters and positions (GGA-PBE)
Kinematic intensities with the Lorentz-polarization factor, no thermal factor.

Principal peaks in the range 10° ≤ 2θ ≤ 80°, sorted by position:
hkl 1 0 1, 2θ 22.01, d 4.038, I = 25
hkl 1 1 0, 2θ 25.88, d 3.442, I = 7
hkl 2 0 0, 2θ 29.97, d 2.981, I = 24
hkl 0 0 2, 2θ 32.64, d 2.744, I = 26
hkl 2 0 1, 2θ 34.23, d 2.620, I = 100
hkl 2 1 0, 2θ 40.01, d 2.254, I = 6
hkl 2 0 2, 2θ 44.90, d 2.019, I = 16
hkl 2 1 2, 2θ 52.55, d 1.741, I = 6
hkl 2 2 0, 2θ 53.22, d 1.721, I = 18
hkl 2 0 3, 2θ 59.27, d 1.559, I = 21
hkl 2 2 2, 2θ 63.84, d 1.458, I = 21
hkl 4 0 1, 2θ 64.81, d 1.438, I = 15

Crystal structure
Cell: 6.8848 6.8848 5.4876 Å, 90.00 90.00 120.00°
Space group P6_3/mmc (No. 194)
Asymmetric unit:
Th (0.1771, 0.3542, 0.2500) (multiplicity 6)
V (0.3333, 0.6667, 0.7500) (multiplicity 2)

Theoretical X-ray diffraction stick pattern
Compound: Y3Th
Radiation: Cu Kα (λ = 1.5418 Å)
Structure: DFT lattice parameters and positions (GGA-PBE)
Kinematic intensities with the Lorentz-polarization factor, no thermal factor.

Principal peaks in the range 10° ≤ 2θ ≤ 80°, sorted by position:
hkl 1 0 0, 2θ 14.14, d 6.264, I = 9
hkl 1 0 1, 2θ 20.85, d 4.260, I = 20
hkl 1 1 0, 2θ 24.62, d 3.617, I = 9
hkl 2 0 0, 2θ 28.50, d 3.132, I = 23
hkl 0 0 2, 2θ 30.78, d 2.905, I = 26
hkl 2 0 1, 2θ 32.47, d 2.757, I = 100
hkl 2 1 1, 2θ 41.17, d 2.193, I = 8
hkl 2 0 2, 2θ 42.44, d 2.130, I = 16
hkl 2 2 0, 2θ 50.47, d 1.808, I = 19
hkl 2 0 3, 2θ 55.81, d 1.647, I = 21
hkl 2 2 2, 2θ 60.29, d 1.535, I = 22
hkl 4 0 1, 2θ 61.31, d 1.512, I = 16

Crystal structure
Cell: 7.2333 7.2333 5.8106 Å, 90.00 90.00 120.00°
Space group P6_3/mmc (No. 194)
Asymmetric unit:
Y (0.1681, 0.3361, 0.2500) (multiplicity 6)
Th (0.3333, 0.6667, 0.7500) (multiplicity 2)

Theoretical X-ray diffraction stick pattern
Compound: Y3Th
Radiation: Cu Kα (λ = 1.5418 Å)
Structure: DFT lattice parameters and positions (GGA-PBE)
Kinematic intensities with the Lorentz-polarization factor, no thermal factor.

Principal peaks in the range 10° ≤ 2θ ≤ 80°, sorted by position:
hkl 0 0 2, 2θ 17.71, d 5.009, I = 6
hkl 1 0 1, 2θ 19.52, d 4.547, I = 20
hkl 1 1 2, 2θ 30.53, d 2.928, I = 100
hkl 1 0 3, 2θ 32.03, d 2.794, I = 6
hkl 2 0 0, 2θ 35.17, d 2.552, I = 34
hkl 0 0 4, 2θ 35.85, d 2.505, I = 16
hkl 2 1 1, 2θ 40.54, d 2.225, I = 7
hkl 2 2 0, 2θ 50.59, d 1.804, I = 12
hkl 2 0 4, 2θ 51.10, d 1.787, I = 24
hkl 3 1 2, 2θ 60.25, d 1.536, I = 29
hkl 1 1 6, 2θ 61.16, d 1.515, I = 15
hkl 2 2 4, 2θ 63.55, d 1.464, I = 12

Crystal structure
Cell: 5.103 5.103 10.019 Å, 90.00 90.00 90.00°
Space group I4/mmm (No. 139)
Asymmetric unit:
Y (0.000, 0.000, 0.000) (multiplicity 2)
Y (0.000, 0.500, 0.250) (multiplicity 4)
Th (0.000, 0.000, 0.500) (multiplicity 2)

Theoretical X-ray diffraction stick pattern
Compound: ThZn11
Radiation: Cu Kα (λ = 1.5418 Å)
Structure: DFT lattice parameters and positions (GGA-PBE)
Kinematic intensities with the Lorentz-polarization factor, no thermal factor.

Principal peaks in the range 10° ≤ 2θ ≤ 80°, sorted by position:
hkl 0 1 2, 2θ 25.87, d 3.443, I = 17
hkl 1 0 2, 2θ 27.99, d 3.187, I = 20
hkl 1 1 1, 2θ 28.49, d 3.133, I = 54
hkl 1 1 2, 2θ 33.10, d 2.706, I = 25
hkl 0 1 3, 2θ 33.79, d 2.653, I = 24
hkl 0 0 4, 2θ 38.72, d 2.326, I = 27
hkl 1 1 3, 2θ 39.73, d 2.268, I = 100
hkl 0 2 2, 2θ 40.20, d 2.243, I = 33
hkl 1 2 0, 2θ 40.83, d 2.210, I = 54
hkl 2 0 0, 2θ 41.26, d 2.188, I = 51
hkl 2 2 2, 2θ 58.95, d 1.567, I = 28
hkl 1 3 3, 2θ 66.02, d 1.415, I = 20

Crystal structure
Cell: 4.376 5.121 9.303 Å, 90.00 90.00 90.00°
Space group Pmmm (No. 47)
Asymmetric unit:
Th (0.000, 0.000, 0.000) (multiplicity 1)
Zn (0.000, 0.000, 0.353) (multiplicity 2)
Zn (0.000, 0.500, 0.213) (multiplicity 2)
Zn (0.000, 0.500, 0.500) (multiplicity 1)
Zn (0.500, 0.000, 0.500) (multiplicity 1)
Zn (0.500, 0.239, 0.236) (multiplicity 4)
Zn (0.500, 0.500, 0.000) (multiplicity 1)

Theoretical X-ray diffraction stick pattern
Compound: ThZn4
Radiation: Cu Kα (λ = 1.5418 Å)
Structure: DFT lattice parameters and positions (GGA-PBE)
Kinematic intensities with the Lorentz-polarization factor, no thermal factor.

Principal peaks in the range 10° ≤ 2θ ≤ 80°, sorted by position:
hkl 1 0 1, 2θ 22.42, d 3.966, I = 27
hkl 1 1 0, 2θ 29.40, d 3.038, I = 26
hkl 1 0 3, 2θ 33.40, d 2.682, I = 72
hkl 1 1 2, 2θ 34.26, d 2.617, I = 100
hkl 2 0 0, 2θ 42.05, d 2.149, I = 51
hkl 1 0 5, 2θ 49.04, d 1.858, I = 30
hkl 2 1 3, 2θ 54.74, d 1.677, I = 35
hkl 2 0 4, 2θ 55.72, d 1.650, I = 9
hkl 2 2 0, 2θ 60.99, d 1.519, I = 17
hkl 1 1 6, 2θ 62.10, d 1.495, I = 14
hkl 2 1 5, 2θ 66.54, d 1.405, I = 24
hkl 3 1 2, 2θ 71.85, d 1.314, I = 23

Crystal structure
Cell: 4.297 4.297 10.301 Å, 90.00 90.00 90.00°
Space group I4/mmm (No. 139)
Asymmetric unit:
Th (0.000, 0.000, 0.000) (multiplicity 2)
Zn (0.000, 0.000, 0.382) (multiplicity 4)
Zn (0.000, 0.500, 0.250) (multiplicity 4)

Theoretical X-ray diffraction stick pattern
Compound: ThZn2
Radiation: Cu Kα (λ = 1.5418 Å)
Structure: DFT lattice parameters and positions (GGA-PBE)
Kinematic intensities with the Lorentz-polarization factor, no thermal factor.

Principal peaks in the range 10° ≤ 2θ ≤ 80°, sorted by position:
hkl 1 0 0, 2θ 22.46, d 3.959, I = 35
hkl 1 0 1, 2θ 33.66, d 2.663, I = 100
hkl 1 1 0, 2θ 39.42, d 2.286, I = 50
hkl 2 0 0, 2θ 45.84, d 1.980, I = 6
hkl 0 0 2, 2θ 50.75, d 1.799, I = 8
hkl 2 0 1, 2θ 52.78, d 1.734, I = 28
hkl 1 0 2, 2θ 56.16, d 1.638, I = 7
hkl 2 1 0, 2θ 62.01, d 1.497, I = 5
hkl 1 1 2, 2θ 66.09, d 1.414, I = 22
hkl 2 1 1, 2θ 67.82, d 1.382, I = 27
hkl 2 0 2, 2θ 70.76, d 1.331, I = 3
hkl 3 0 0, 2θ 71.48, d 1.320, I = 9

Crystal structure
Cell: 4.5719 4.5719 3.5980 Å, 90.00 90.00 120.00°
Space group P6/mmm (No. 191)
Asymmetric unit:
Th (0.0000, 0.0000, 0.0000) (multiplicity 1)
Zn (0.3333, 0.6667, 0.5000) (multiplicity 2)

Theoretical X-ray diffraction stick pattern
Compound: Th3Zn
Radiation: Cu Kα (λ = 1.5418 Å)
Structure: DFT lattice parameters and positions (GGA-PBE)
Kinematic intensities with the Lorentz-polarization factor, no thermal factor.

Principal peaks in the range 10° ≤ 2θ ≤ 80°, sorted by position:
hkl 0 0 2, 2θ 17.81, d 4.980, I = 4
hkl 1 0 1, 2θ 20.54, d 4.324, I = 12
hkl 1 1 2, 2θ 31.91, d 2.805, I = 100
hkl 1 0 3, 2θ 32.80, d 2.731, I = 4
hkl 0 0 4, 2θ 36.07, d 2.490, I = 18
hkl 2 0 0, 2θ 37.47, d 2.400, I = 33
hkl 2 0 4, 2θ 52.99, d 1.728, I = 25
hkl 2 2 0, 2θ 54.03, d 1.697, I = 12
hkl 1 1 6, 2θ 62.25, d 1.491, I = 15
hkl 3 1 2, 2θ 64.13, d 1.452, I = 28
hkl 2 2 4, 2θ 66.69, d 1.402, I = 12
hkl 4 0 0, 2θ 79.94, d 1.200, I = 4

Crystal structure
Cell: 4.800 4.800 9.961 Å, 90.00 90.00 90.00°
Space group I4/mmm (No. 139)
Asymmetric unit:
Th (0.000, 0.000, 0.000) (multiplicity 2)
Th (0.000, 0.500, 0.250) (multiplicity 4)
Zn (0.000, 0.000, 0.500) (multiplicity 2)

Theoretical X-ray diffraction stick pattern
Compound: ThZr3
Radiation: Cu Kα (λ = 1.5418 Å)
Structure: DFT lattice parameters and positions (GGA-PBE)
Kinematic intensities with the Lorentz-polarization factor, no thermal factor.

Principal peaks in the range 10° ≤ 2θ ≤ 80°, sorted by position:
hkl 0 0 2, 2θ 18.78, d 4.725, I = 7
hkl 1 0 0, 2θ 27.16, d 3.284, I = 5
hkl 0 0 3, 2θ 28.34, d 3.150, I = 5
hkl 1 0 1, 2θ 28.78, d 3.102, I = 12
hkl 1 0 2, 2θ 33.23, d 2.696, I = 100
hkl 0 0 4, 2θ 38.09, d 2.362, I = 17
hkl 1 1 0, 2θ 38.78, d 2.322, I = 33
hkl 1 1 4, 2θ 55.49, d 1.656, I = 22
hkl 2 0 0, 2θ 56.01, d 1.642, I = 11
hkl 1 0 6, 2θ 65.76, d 1.420, I = 12
hkl 2 1 2, 2θ 66.70, d 1.402, I = 26
hkl 2 0 4, 2θ 69.75, d 1.348, I = 12

Crystal structure
Cell: 3.284 3.284 9.449 Å, 90.00 90.00 90.00°
Space group P4/mmm (No. 123)
Asymmetric unit:
Th (0.000, 0.000, 0.000) (multiplicity 1)
Zr (0.000, 0.000, 0.500) (multiplicity 1)
Zr (0.500, 0.500, 0.265) (multiplicity 2)

Number 5 is which compound? ThZn4